Structure and computed PXRD pattern of Sr2CaReO6 (a structure optimized by DFT (GGA-PBE); Cu Kα, 1.54184 Å).

Top 6 peaks for 10 to 80 degrees two-theta, in order of falling intensity:
2θ = 30.5°, I 100
2θ = 18.6°, I 30
2θ = 18.5°, I 29
2θ = 43.6°, I 27
2θ = 30.6°, I 24
2θ = 30.3°, I 24

Cell and atoms:
```
data_Sr2CaReO6
_symmetry_space_group_name_H-M 'P 1'
_symmetry_Int_Tables_number 1
_cell_length_a 5.8366
_cell_length_b 5.9005
_cell_length_c 10.0994
_cell_angle_alpha 90.00
_cell_angle_beta 125.10
_cell_angle_gamma 90.00
loop_
_symmetry_equiv_pos_as_xyz
'x,y,z'
loop_
_atom_site_label
_atom_site_type_symbol
_atom_site_fract_x
_atom_site_fract_y
_atom_site_fract_z
_atom_site_occupancy
Sr1 Sr 0.2419 0.0402 0.2496 1
Sr2 Sr 0.2419 0.4598 0.7496 1
Sr3 Sr 0.7581 0.5402 0.2504 1
Sr4 Sr 0.7581 0.9598 0.7504 1
Ca1 Ca 0.5000 0.0000 0.0000 1
Ca2 Ca 0.5000 0.5000 0.5000 1
Re1 Re 0.0000 0.0000 0.5000 1
Re2 Re 0.0000 0.5000 0.0000 1
O1 O 0.1390 0.2310 0.9549 1
O2 O 0.1390 0.2690 0.4549 1
O3 O 0.2259 0.6886 0.9592 1
O4 O 0.2259 0.8114 0.4592 1
O5 O 0.3093 0.0227 0.7272 1
O6 O 0.3093 0.4773 0.2272 1
O7 O 0.6907 0.5227 0.7728 1
O8 O 0.6907 0.9773 0.2728 1
O9 O 0.7741 0.1886 0.5408 1
O10 O 0.7741 0.3114 0.0408 1
O11 O 0.8610 0.7310 0.5451 1
O12 O 0.8610 0.7690 0.0451 1
```

=====

Structure and computed PXRD pattern of GaP (a structure optimized by DFT (GGA-PBE); Cu Kα, 1.54184 Å).

Top 6 peaks for 10 to 80 degrees two-theta, in order of falling intensity:
2θ = 35.0°, I 100
2θ = 49.7°, I 71
2θ = 34.2°, I 53
2θ = 16.9°, I 44
2θ = 62.2°, I 35
2θ = 50.3°, I 34

Cell and atoms:
```
data_GaP
_symmetry_space_group_name_H-M 'P 1'
_symmetry_Int_Tables_number 1
_cell_length_a 2.5653
_cell_length_b 2.5653
_cell_length_c 5.2504
_cell_angle_alpha 90.00
_cell_angle_beta 90.00
_cell_angle_gamma 90.00
loop_
_symmetry_equiv_pos_as_xyz
'x,y,z'
loop_
_atom_site_label
_atom_site_type_symbol
_atom_site_fract_x
_atom_site_fract_y
_atom_site_fract_z
_atom_site_occupancy
Ga1 Ga 0.0000 0.0000 0.0000 1
P1 P 0.0000 0.0000 0.5000 1
```

=====

Structure and computed PXRD pattern of Zr3Tl (a structure optimized by DFT (GGA-PBE); Cu Kα, 1.54184 Å).

Top 6 peaks for 10 to 80 degrees two-theta, in order of falling intensity:
2θ = 34.6°, I 100
2θ = 40.2°, I 50
2θ = 69.4°, I 39
2θ = 58.1°, I 33
2θ = 19.8°, I 14
2θ = 28.1°, I 12

Cell and atoms:
```
data_Zr3Tl
_symmetry_space_group_name_H-M 'P 1'
_symmetry_Int_Tables_number 1
_cell_length_a 4.4912
_cell_length_b 4.4912
_cell_length_c 4.4912
_cell_angle_alpha 90.00
_cell_angle_beta 90.00
_cell_angle_gamma 90.00
loop_
_symmetry_equiv_pos_as_xyz
'x,y,z'
loop_
_atom_site_label
_atom_site_type_symbol
_atom_site_fract_x
_atom_site_fract_y
_atom_site_fract_z
_atom_site_occupancy
Zr1 Zr 0.0000 0.0000 0.5000 1
Zr2 Zr 0.0000 0.5000 0.0000 1
Zr3 Zr 0.5000 0.0000 0.0000 1
Tl1 Tl 0.5000 0.5000 0.5000 1
```

=====

Structure and computed PXRD pattern of SmAl3Ni2 (a structure optimized by DFT (GGA-PBE); Cu Kα, 1.54184 Å).

Top 6 peaks for 10 to 80 degrees two-theta, in order of falling intensity:
2θ = 37.2°, I 100
2θ = 39.4°, I 75
2θ = 24.5°, I 58
2θ = 60.8°, I 47
2θ = 40.7°, I 42
2θ = 19.4°, I 32

Cell and atoms:
```
data_SmAl3Ni2
_symmetry_space_group_name_H-M 'P 1'
_symmetry_Int_Tables_number 1
_cell_length_a 9.1457
_cell_length_b 9.1457
_cell_length_c 4.0826
_cell_angle_alpha 90.00
_cell_angle_beta 90.00
_cell_angle_gamma 120.00
loop_
_symmetry_equiv_pos_as_xyz
'x,y,z'
loop_
_atom_site_label
_atom_site_type_symbol
_atom_site_fract_x
_atom_site_fract_y
_atom_site_fract_z
_atom_site_occupancy
Sm1 Sm 0.0000 0.0000 0.0000 1
Sm2 Sm 0.3333 0.6667 0.5000 1
Sm3 Sm 0.6667 0.3333 0.5000 1
Al1 Al 0.0000 0.2966 0.5000 1
Al2 Al 0.0000 0.5000 0.0000 1
Al3 Al 0.0000 0.7034 0.5000 1
Al4 Al 0.2966 0.0000 0.5000 1
Al5 Al 0.2966 0.2966 0.5000 1
Al6 Al 0.5000 0.0000 0.0000 1
Al7 Al 0.5000 0.5000 0.0000 1
Al8 Al 0.7034 0.0000 0.5000 1
Al9 Al 0.7034 0.7034 0.5000 1
Ni1 Ni 0.1814 0.3628 0.0000 1
Ni2 Ni 0.1814 0.8186 0.0000 1
Ni3 Ni 0.3628 0.1814 0.0000 1
Ni4 Ni 0.6372 0.8186 0.0000 1
Ni5 Ni 0.8186 0.1814 0.0000 1
Ni6 Ni 0.8186 0.6372 0.0000 1
```

=====

Structure and computed PXRD pattern of Cs2TlAsBr6 (a structure optimized by DFT (GGA-PBE); Cu Kα, 1.54184 Å).

Top 6 peaks for 10 to 80 degrees two-theta, in order of falling intensity:
2θ = 30.7°, I 100
2θ = 43.9°, I 70
2θ = 21.6°, I 69
2θ = 26.5°, I 41
2θ = 37.8°, I 29
2θ = 72.5°, I 28

Cell and atoms:
```
data_Cs2TlAsBr6
_symmetry_space_group_name_H-M 'P 1'
_symmetry_Int_Tables_number 1
_cell_length_a 8.2421
_cell_length_b 8.2421
_cell_length_c 8.2421
_cell_angle_alpha 60.00
_cell_angle_beta 60.00
_cell_angle_gamma 60.00
loop_
_symmetry_equiv_pos_as_xyz
'x,y,z'
loop_
_atom_site_label
_atom_site_type_symbol
_atom_site_fract_x
_atom_site_fract_y
_atom_site_fract_z
_atom_site_occupancy
Cs1 Cs 0.2500 0.2500 0.2500 1
Cs2 Cs 0.7500 0.7500 0.7500 1
Tl1 Tl 0.0000 0.0000 0.0000 1
As1 As 0.5000 0.5000 0.5000 1
Br1 Br 0.2702 0.2702 0.7298 1
Br2 Br 0.2702 0.7298 0.2702 1
Br3 Br 0.2702 0.7298 0.7298 1
Br4 Br 0.7298 0.2702 0.2702 1
Br5 Br 0.7298 0.2702 0.7298 1
Br6 Br 0.7298 0.7298 0.2702 1
```

=====

Structure and computed PXRD pattern of Cs4PbBr6 (a structure optimized by DFT (GGA-PBE); Cu Kα, 1.54184 Å).

Top 6 peaks for 10 to 80 degrees two-theta, in order of falling intensity:
2θ = 29.5°, I 100
2θ = 28.0°, I 84
2θ = 21.8°, I 63
2θ = 26.8°, I 51
2θ = 38.1°, I 47
2θ = 12.4°, I 40

Cell and atoms:
```
data_Cs4PbBr6
_symmetry_space_group_name_H-M 'P 1'
_symmetry_Int_Tables_number 1
_cell_length_a 10.0382
_cell_length_b 10.0382
_cell_length_c 10.0382
_cell_angle_alpha 89.36
_cell_angle_beta 89.36
_cell_angle_gamma 89.36
loop_
_symmetry_equiv_pos_as_xyz
'x,y,z'
loop_
_atom_site_label
_atom_site_type_symbol
_atom_site_fract_x
_atom_site_fract_y
_atom_site_fract_z
_atom_site_occupancy
Cs1 Cs 0.1255 0.7500 0.3745 1
Cs2 Cs 0.2500 0.2500 0.2500 1
Cs3 Cs 0.2500 0.6255 0.8745 1
Cs4 Cs 0.3745 0.1255 0.7500 1
Cs5 Cs 0.6255 0.8745 0.2500 1
Cs6 Cs 0.7500 0.3745 0.1255 1
Cs7 Cs 0.7500 0.7500 0.7500 1
Cs8 Cs 0.8745 0.2500 0.6255 1
Pb1 Pb 0.0000 0.0000 0.0000 1
Pb2 Pb 0.5000 0.5000 0.5000 1
Br1 Br 0.0602 0.9278 0.7091 1
Br2 Br 0.0722 0.2909 0.9398 1
Br3 Br 0.2091 0.4278 0.5602 1
Br4 Br 0.2909 0.9398 0.0722 1
Br5 Br 0.4278 0.5602 0.2091 1
Br6 Br 0.4398 0.7909 0.5722 1
Br7 Br 0.5602 0.2091 0.4278 1
Br8 Br 0.5722 0.4398 0.7909 1
Br9 Br 0.7091 0.0602 0.9278 1
Br10 Br 0.7909 0.5722 0.4398 1
Br11 Br 0.9278 0.7091 0.0602 1
Br12 Br 0.9398 0.0722 0.2909 1
```

=====

Structure and computed PXRD pattern of Li2Th5OF22 (a structure optimized by DFT (GGA-PBE); Cu Kα, 1.54184 Å).

Top 6 peaks for 10 to 80 degrees two-theta, in order of falling intensity:
2θ = 21.8°, I 100
2θ = 24.8°, I 28
2θ = 42.9°, I 26
2θ = 45.0°, I 25
2θ = 41.3°, I 20
2θ = 43.3°, I 17

Cell and atoms:
```
data_Li2Th5OF22
_symmetry_space_group_name_H-M 'P 1'
_symmetry_Int_Tables_number 1
_cell_length_a 11.3377
_cell_length_b 11.3377
_cell_length_c 6.8777
_cell_angle_alpha 90.00
_cell_angle_beta 90.00
_cell_angle_gamma 90.00
loop_
_symmetry_equiv_pos_as_xyz
'x,y,z'
loop_
_atom_site_label
_atom_site_type_symbol
_atom_site_fract_x
_atom_site_fract_y
_atom_site_fract_z
_atom_site_occupancy
Li1 Li 0.0000 0.0000 0.2504 1
Li2 Li 0.0000 0.0000 0.7496 1
Li3 Li 0.5000 0.5000 0.2504 1
Li4 Li 0.5000 0.5000 0.7496 1
Th1 Th 0.0000 0.5000 0.2440 1
Th2 Th 0.1544 0.8456 0.0000 1
Th3 Th 0.1560 0.1560 0.5000 1
Th4 Th 0.3440 0.6560 0.5000 1
Th5 Th 0.3456 0.3456 0.0000 1
Th6 Th 0.5000 0.0000 0.7560 1
Th7 Th 0.6544 0.6544 0.0000 1
Th8 Th 0.6560 0.3440 0.5000 1
Th9 Th 0.8440 0.8440 0.5000 1
Th10 Th 0.8456 0.1544 0.0000 1
O1 O 0.0000 0.5000 0.8034 1
O2 O 0.5000 0.0000 0.1966 1
F1 F 0.0000 0.0000 0.0000 1
F2 F 0.0000 0.0000 0.5000 1
F3 F 0.0019 0.8319 0.2514 1
F4 F 0.0035 0.1764 0.7516 1
F5 F 0.0885 0.3494 0.4375 1
F6 F 0.0905 0.6527 0.0564 1
F7 F 0.1506 0.5885 0.4375 1
F8 F 0.1527 0.4095 0.0564 1
F9 F 0.1681 0.9981 0.7486 1
F10 F 0.1764 0.0035 0.2484 1
F11 F 0.2313 0.7353 0.7471 1
F12 F 0.2353 0.2687 0.7471 1
F13 F 0.2647 0.7687 0.2529 1
F14 F 0.2687 0.2353 0.2529 1
F15 F 0.3236 0.5035 0.7516 1
F16 F 0.3319 0.4981 0.2514 1
F17 F 0.3473 0.9095 0.9436 1
F18 F 0.3494 0.0885 0.5625 1
F19 F 0.4095 0.1527 0.9436 1
F20 F 0.4115 0.8494 0.5625 1
F21 F 0.4965 0.6764 0.2484 1
F22 F 0.4981 0.3319 0.7486 1
F23 F 0.5000 0.5000 0.0000 1
F24 F 0.5000 0.5000 0.5000 1
F25 F 0.5019 0.6681 0.7486 1
F26 F 0.5035 0.3236 0.2484 1
F27 F 0.5885 0.1506 0.5625 1
F28 F 0.5905 0.8473 0.9436 1
F29 F 0.6506 0.9115 0.5625 1
F30 F 0.6527 0.0905 0.9436 1
F31 F 0.6681 0.5019 0.2514 1
F32 F 0.6764 0.4965 0.7516 1
F33 F 0.7313 0.7647 0.2529 1
F34 F 0.7353 0.2313 0.2529 1
F35 F 0.7647 0.7313 0.7471 1
F36 F 0.7687 0.2647 0.7471 1
F37 F 0.8236 0.9965 0.2484 1
F38 F 0.8319 0.0019 0.7486 1
F39 F 0.8473 0.5905 0.0564 1
F40 F 0.8494 0.4115 0.4375 1
F41 F 0.9095 0.3473 0.0564 1
F42 F 0.9115 0.6506 0.4375 1
F43 F 0.9965 0.8236 0.7516 1
F44 F 0.9981 0.1681 0.2514 1
```